No. 1
Theoretical powder X-ray diffraction pattern of Mg6NiBiO8 for Cu Kα X-rays, from a PBE+U-relaxed structure.
Intensities are scaled so that the largest is 100.

Structure:
abc: 4.481 4.481 8.771
angles: 90.00 90.00 90.00
Space group P4/mmm (No. 123)
Unique sites:
1 Mg 0.000 0.000 0.000 (multiplicity 1)
2 Mg 0.000 0.500 0.238 (multiplicity 4)
3 Mg 0.500 0.500 0.000 (multiplicity 1)
4 Ni 0.000 0.000 0.500 (multiplicity 1)
5 Bi 0.500 0.500 0.500 (multiplicity 1)
6 O 0.000 0.000 0.236 (multiplicity 2)
7 O 0.000 0.500 0.000 (multiplicity 2)
8 O 0.000 0.500 0.500 (multiplicity 2)
9 O 0.500 0.500 0.230 (multiplicity 2)

The 10 most intense peaks (10° ≤ 2θ ≤ 90°), by angle:
| hkl | 2theta | I (rel.) |
| --- | --- | --- |
| 0 0 1 | 10.1 | 100 |
| 1 0 0 | 19.8 | 22 |
| 0 0 2 | 20.2 | 27 |
| 1 0 1 | 22.3 | 33 |
| 1 1 0 | 28.2 | 24 |
| 1 1 1 | 30.0 | 41 |
| 1 1 2 | 34.9 | 49 |
| 2 0 0 | 40.3 | 59 |
| 0 0 4 | 41.2 | 27 |
| 2 0 4 | 58.9 | 34 |



No. 2
Theoretical powder X-ray diffraction pattern of Li9Mn2Co5O16 for Cu Kα X-rays, from a PBE+U-relaxed structure.
Intensities are scaled so that the largest is 100.

Structure:
abc: 20.993 2.927 9.891
angles: 90.00 107.78 90.00
Space group Cm (No. 8)
Unique sites:
1 Li 0.000 0.000 0.000 (multiplicity 2)
2 Li 0.000 0.500 0.496 (multiplicity 2)
3 Li 0.128 0.500 0.133 (multiplicity 2)
4 Li 0.130 0.000 0.615 (multiplicity 2)
5 Li 0.187 0.500 0.437 (multiplicity 2)
6 Li 0.244 0.000 0.260 (multiplicity 2)
7 Li 0.250 0.500 0.741 (multiplicity 2)
8 Li 0.370 0.000 0.865 (multiplicity 2)
9 Li 0.372 0.500 0.379 (multiplicity 2)
10 Mn 0.062 0.500 0.811 (multiplicity 2)
11 Mn 0.437 0.000 0.187 (multiplicity 2)
12 Co 0.072 0.000 0.316 (multiplicity 2)
13 Co 0.191 0.000 0.937 (multiplicity 2)
14 Co 0.302 0.000 0.554 (multiplicity 2)
15 Co 0.308 0.500 0.062 (multiplicity 2)
16 Co 0.431 0.500 0.681 (multiplicity 2)
17 O 0.025 0.500 0.167 (multiplicity 2)
18 O 0.033 0.000 0.675 (multiplicity 2)
19 O 0.088 0.500 0.455 (multiplicity 2)
20 O 0.091 0.000 0.948 (multiplicity 2)
21 O 0.149 0.000 0.275 (multiplicity 2)
22 O 0.152 0.500 0.792 (multiplicity 2)
23 O 0.218 0.500 0.085 (multiplicity 2)
24 O 0.224 0.000 0.596 (multiplicity 2)
25 O 0.282 0.000 0.915 (multiplicity 2)
26 O 0.284 0.500 0.414 (multiplicity 2)
27 O 0.347 0.000 0.204 (multiplicity 2)
28 O 0.348 0.500 0.713 (multiplicity 2)
29 O 0.409 0.000 0.540 (multiplicity 2)
30 O 0.409 0.500 0.048 (multiplicity 2)
31 O 0.464 0.500 0.322 (multiplicity 2)
32 O 0.475 0.000 0.833 (multiplicity 2)

The 10 most intense peaks (10° ≤ 2θ ≤ 90°), by angle:
| hkl | 2theta | I (rel.) |
| --- | --- | --- |
| 2 0 -2 | 18.2 | 100 |
| 3 1 1 | 35.9 | 38 |
| 5 1 -1 | 37.5 | 10 |
| 1 1 3 | 43.4 | 81 |
| 7 1 -3 | 47.5 | 13 |
| 1 1 -5 | 57.1 | 14 |
| 9 1 -5 | 62.7 | 22 |
| 0 2 0 | 63.6 | 20 |
| 2 2 -2 | 66.7 | 12 |
| 10 2 -2 | 80.1 | 9 |



No. 3
Theoretical powder X-ray diffraction pattern of Co3BiC9O9 for Cu Kα X-rays, from a PBE+U-relaxed structure.
Intensities are scaled so that the largest is 100.

Structure:
abc: 11.2850 11.2850 7.6251
angles: 90.00 90.00 120.00
Space group P6_3mc (No. 186)
Unique sites:
1 Co 0.2576 0.5151 0.0000 (multiplicity 6)
2 Bi 0.3333 0.6667 0.7138 (multiplicity 2)
3 C 0.1113 0.5556 0.0143 (multiplicity 6)
4 C 0.1873 0.3746 0.8586 (multiplicity 6)
5 C 0.2186 0.4371 0.2078 (multiplicity 6)
6 O 0.0089 0.5045 0.5291 (multiplicity 6)
7 O 0.1369 0.2738 0.7779 (multiplicity 6)
8 O 0.1917 0.3834 0.3432 (multiplicity 6)

The 10 most intense peaks (10° ≤ 2θ ≤ 90°), by angle:
| hkl | 2theta | I (rel.) |
| --- | --- | --- |
| 1 0 1 | 14.7 | 100 |
| 1 1 0 | 15.7 | 61 |
| 2 0 0 | 18.2 | 25 |
| 2 0 1 | 21.6 | 30 |
| 2 1 1 | 26.8 | 57 |
| 2 2 0 | 31.7 | 20 |
| 3 1 1 | 35.1 | 38 |
| 1 0 3 | 36.5 | 24 |
| 4 0 2 | 44.0 | 25 |
| 4 1 2 | 48.9 | 22 |



No. 4
Theoretical powder X-ray diffraction pattern of Li4Co3O7 for Cu Kα X-rays, from a PBE+U-relaxed structure.
Intensities are scaled so that the largest is 100.

Structure:
abc: 5.085 5.131 10.334
angles: 84.97 76.61 70.45
Space group P-1 (No. 2)
Unique sites:
1 Li 0.000 0.000 0.000 (multiplicity 1)
2 Li 0.072 0.498 0.859 (multiplicity 2)
3 Li 0.216 0.501 0.569 (multiplicity 2)
4 Li 0.358 0.499 0.285 (multiplicity 2)
5 Li 0.500 0.500 0.000 (multiplicity 1)
6 Co 0.140 0.995 0.722 (multiplicity 2)
7 Co 0.286 0.999 0.430 (multiplicity 2)
8 Co 0.424 0.000 0.139 (multiplicity 2)
9 O 0.019 0.770 0.429 (multiplicity 2)
10 O 0.123 0.227 0.277 (multiplicity 2)
11 O 0.195 0.778 0.147 (multiplicity 2)
12 O 0.284 0.222 0.002 (multiplicity 2)
13 O 0.333 0.781 0.850 (multiplicity 2)
14 O 0.408 0.223 0.722 (multiplicity 2)
15 O 0.461 0.764 0.566 (multiplicity 2)

The 10 most intense peaks (10° ≤ 2θ ≤ 90°), by angle:
| hkl | 2theta | I (rel.) |
| --- | --- | --- |
| 0 1 0 | 18.3 | 100 |
| 2 1 1 | 35.8 | 14 |
| 1 0 -3 | 36.2 | 14 |
| 1 0 4 | 36.8 | 12 |
| 2 2 1 | 43.4 | 28 |
| -1 1 3 | 43.6 | 27 |
| 1 -1 4 | 44.4 | 26 |
| 1 3 4 | 63.1 | 15 |
| 3 1 -2 | 63.3 | 7 |
| 1 3 -3 | 63.5 | 7 |



No. 5
Theoretical powder X-ray diffraction pattern of Na2CoP2O7 for Cu Kα X-rays, from a PBE+U-relaxed structure.
Intensities are scaled so that the largest is 100.

Structure:
abc: 7.823 7.823 10.427
angles: 90.00 90.00 90.00
Space group P4_2/mnm (No. 136)
Unique sites:
1 Na 0.146 0.146 0.000 (multiplicity 4)
2 Na 0.194 0.194 0.500 (multiplicity 4)
3 Co 0.000 0.500 0.250 (multiplicity 4)
4 P 0.138 0.862 0.289 (multiplicity 8)
5 O 0.000 0.000 0.346 (multiplicity 4)
6 O 0.080 0.693 0.354 (multiplicity 16)
7 O 0.137 0.863 0.144 (multiplicity 8)

The 10 most intense peaks (10° ≤ 2θ ≤ 90°), by angle:
| hkl | 2theta | I (rel.) |
| --- | --- | --- |
| 0 0 2 | 17.0 | 84 |
| 1 1 2 | 23.4 | 30 |
| 2 1 0 | 25.5 | 38 |
| 2 0 2 | 28.5 | 55 |
| 2 1 2 | 30.8 | 100 |
| 3 1 0 | 36.3 | 39 |
| 3 1 2 | 40.4 | 25 |
| 2 2 4 | 48.0 | 19 |
| 3 1 4 | 50.9 | 43 |
| 1 1 6 | 55.4 | 22 |



Number 3 is which compound?
Co3BiC9O9